Structure and theoretical X-ray powder pattern of Ca4SnIr (a crystal structure in Alexandria, relaxed with PBE; Cu Ka).
Intensities are scaled so that the largest is 100.

Top 10 peaks for 2θ = 5–70°, by angle:
d 7.185, 12.32°, I = 91; d 6.996, 12.65°, I = 100; d 4.187, 21.22°, I = 51; d 4.075, 21.81°, I = 75; d 2.654, 33.77°, I = 44; d 2.645, 33.90°, I = 36; d 2.556, 35.11°, I = 59; d 2.395, 37.55°, I = 51; d 2.239, 40.28°, I = 38; d 2.128, 42.47°, I = 29

Crystal structure
a b c (Å): 8.3531 8.3531 6.1253
angles (deg): 102.56 102.56 113.76
Fractional coordinates of all 12 atoms:
Ca: 0.0528 0.7195 0.9356
Ca: 0.2191 0.3500 0.6651
Ca: 0.2805 0.9472 0.5644
Ca: 0.3500 0.2191 0.1651
Ca: 0.6500 0.7809 0.8349
Ca: 0.7195 0.0528 0.4356
Ca: 0.7809 0.6500 0.3349
Ca: 0.9472 0.2805 0.0644
Sn: 0.3651 0.6349 0.2500
Sn: 0.6349 0.3651 0.7500
Ir: 0.0016 0.9984 0.7500
Ir: 0.9984 0.0016 0.2500

Structure and theoretical X-ray powder pattern of Ca3Sn5Ir6 (a crystal structure in Alexandria, relaxed with PBE; Cu Ka).
Intensities are scaled so that the largest is 100.

Top 10 peaks for 2θ = 5–70°, by angle:
d 5.020, 17.67°, I = 72; d 4.003, 22.21°, I = 20; d 2.657, 33.74°, I = 100; d 2.295, 39.26°, I = 15; d 2.287, 39.40°, I = 14; d 2.249, 40.10°, I = 21; d 2.237, 40.31°, I = 24; d 2.182, 41.38°, I = 38; d 1.959, 46.36°, I = 55; d 1.566, 58.98°, I = 14

Crystal structure
a b c (Å): 4.3644 13.4910 10.0399
angles (deg): 90.00 90.00 90.00
Fractional coordinates of all 28 atoms:
Ca: 0.2500 0.0770 0.2488
Ca: 0.2500 0.4230 0.2488
Ca: 0.2500 0.7500 0.2389
Ca: 0.7500 0.2500 0.7611
Ca: 0.7500 0.5770 0.7512
Ca: 0.7500 0.9230 0.7512
Sn: 0.2500 0.0832 0.8515
Sn: 0.2500 0.4168 0.8515
Sn: 0.2500 0.6323 0.5208
Sn: 0.2500 0.7500 0.8533
Sn: 0.2500 0.8677 0.5208
Sn: 0.7500 0.1323 0.4792
Sn: 0.7500 0.2500 0.1467
Sn: 0.7500 0.3677 0.4792
Sn: 0.7500 0.5832 0.1485
Sn: 0.7500 0.9168 0.1485
Ir: 0.2500 0.0532 0.5947
Ir: 0.2500 0.2500 0.5155
Ir: 0.2500 0.2500 0.9964
Ir: 0.2500 0.4468 0.5947
Ir: 0.2500 0.5829 0.9994
Ir: 0.2500 0.9171 0.9994
Ir: 0.7500 0.0829 0.0006
Ir: 0.7500 0.4171 0.0006
Ir: 0.7500 0.5532 0.4053
Ir: 0.7500 0.7500 0.0036
Ir: 0.7500 0.7500 0.4845
Ir: 0.7500 0.9468 0.4053

Structure and theoretical X-ray powder pattern of Sr3Ca2Ir (a crystal structure in Alexandria, relaxed with PBE; Cu Ka).
Intensities are scaled so that the largest is 100.

Top 10 peaks for 2θ = 5–70°, by angle:
d 7.212, 12.27°, I = 73; d 6.277, 14.11°, I = 19; d 5.813, 15.24°, I = 100; d 5.203, 17.04°, I = 20; d 3.243, 27.50°, I = 21; d 3.047, 29.31°, I = 22; d 3.024, 29.53°, I = 40; d 2.907, 30.76°, I = 31; d 2.887, 30.97°, I = 51; d 2.215, 40.74°, I = 21

Crystal structure
a b c (Å): 7.6461 7.6461 9.6188
angles (deg): 104.22 104.22 73.93
Fractional coordinates of all 12 atoms:
Sr: 0.0841 0.9159 0.7500
Sr: 0.2801 0.6329 0.0435
Sr: 0.3671 0.7199 0.4565
Sr: 0.6329 0.2801 0.5435
Sr: 0.7199 0.3671 0.9565
Sr: 0.9159 0.0841 0.2500
Ca: 0.1681 0.3580 0.6520
Ca: 0.3580 0.1681 0.1520
Ca: 0.6420 0.8319 0.8480
Ca: 0.8319 0.6420 0.3480
Ir: 0.4080 0.5920 0.7500
Ir: 0.5920 0.4080 0.2500

Structure and theoretical X-ray powder pattern of Sr3CaIr (a crystal structure in Alexandria, relaxed with PBE; Cu Ka).
Intensities are scaled so that the largest is 100.

Top 10 peaks for 2θ = 5–70°, by angle:
d 7.854, 11.27°, I = 100; d 7.447, 11.88°, I = 54; d 6.610, 13.40°, I = 60; d 5.404, 16.40°, I = 24; d 5.049, 17.57°, I = 39; d 3.383, 26.34°, I = 35; d 3.305, 26.98°, I = 24; d 3.251, 27.44°, I = 28; d 2.527, 35.53°, I = 33; d 2.203, 40.97°, I = 23

Crystal structure
a b c (Å): 7.8545 7.4467 14.3508
angles (deg): 90.00 90.58 90.00
Fractional coordinates of all 20 atoms:
Sr: 0.1121 0.2134 0.0394
Sr: 0.1121 0.7866 0.5394
Sr: 0.2517 0.0564 0.2898
Sr: 0.2517 0.9436 0.7898
Sr: 0.3677 0.2683 0.5556
Sr: 0.3677 0.7317 0.0556
Sr: 0.6323 0.2683 0.9444
Sr: 0.6323 0.7317 0.4444
Sr: 0.7483 0.0564 0.2102
Sr: 0.7483 0.9436 0.7102
Sr: 0.8879 0.2134 0.4606
Sr: 0.8879 0.7866 0.9606
Ca: 0.2011 0.4172 0.7935
Ca: 0.2011 0.5828 0.2935
Ca: 0.7989 0.4172 0.7065
Ca: 0.7989 0.5828 0.2065
Ir: 0.0538 0.1610 0.6515
Ir: 0.0538 0.8390 0.1515
Ir: 0.9462 0.1610 0.8485
Ir: 0.9462 0.8390 0.3485

Structure and theoretical X-ray powder pattern of Sr2Ca6Ir (a crystal structure in Alexandria, relaxed with PBE; Cu Ka).
Intensities are scaled so that the largest is 100.

Top 10 peaks for 2θ = 5–70°, by angle:
d 6.570, 13.48°, I = 100; d 4.023, 22.09°, I = 96; d 3.431, 25.97°, I = 57; d 3.285, 27.15°, I = 31; d 2.845, 31.45°, I = 100; d 2.323, 38.77°, I = 46; d 2.190, 41.22°, I = 26; d 2.012, 45.07°, I = 71; d 1.923, 47.26°, I = 26; d 1.521, 60.92°, I = 26

Crystal structure
a b c (Å): 8.0431 8.0431 8.0431
angles (deg): 119.92 119.92 90.15
Fractional coordinates of all 9 atoms:
Sr: 0.2500 0.7500 0.5000
Sr: 0.7500 0.2500 0.5000
Ca: 0.2437 0.2437 0.4875
Ca: 0.2437 0.7563 0.0000
Ca: 0.2446 0.2446 0.0000
Ca: 0.7554 0.7554 0.0000
Ca: 0.7563 0.2437 0.0000
Ca: 0.7563 0.7563 0.5125
Ir: 0.0000 0.0000 0.0000

Structure and theoretical X-ray powder pattern of SrCa4Ir (a crystal structure in Alexandria, relaxed with PBE; Cu Ka).
Intensities are scaled so that the largest is 100.

Top 10 peaks for 2θ = 5–70°, by angle:
d 10.238, 8.64°, I = 100; d 5.119, 17.32°, I = 33; d 4.591, 19.34°, I = 64; d 4.189, 21.21°, I = 57; d 3.573, 24.92°, I = 21; d 3.290, 27.11°, I = 27; d 2.959, 30.21°, I = 42; d 2.930, 30.51°, I = 23; d 2.420, 37.15°, I = 19; d 2.163, 41.77°, I = 21

Crystal structure
a b c (Å): 10.3729 7.1461 6.6659
angles (deg): 90.00 99.25 90.00
Fractional coordinates of all 12 atoms:
Sr: 0.0000 0.0000 0.0000
Sr: 0.0000 0.5000 0.5000
Ca: 0.2596 0.1114 0.5693
Ca: 0.2596 0.3886 0.0693
Ca: 0.4011 0.6477 0.6230
Ca: 0.4011 0.8523 0.1230
Ca: 0.5989 0.1477 0.8770
Ca: 0.5989 0.3523 0.3770
Ca: 0.7404 0.6114 0.9307
Ca: 0.7404 0.8886 0.4307
Ir: 0.5000 0.0000 0.5000
Ir: 0.5000 0.5000 0.0000

- What is the formula in the fourth record?
  Sr3CaIr